[1]
Diffraction record for Mg2Tl4Hg5. The X-ray diffraction stick pattern is computed, not measured: it uses a GGA-PBE-relaxed structure and Cu Kα (λ = 1.5418 Å).

Structural model:
a b c (Å): 9.5067 20.0711 6.2312
angles (deg): 90.00 90.00 90.00
Space group Ibam (No. 72)
Inequivalent atoms, fractional coordinates:
Mg1 0.0000 0.2070 0.2500 [8 per cell]
Tl1 0.0808 0.3585 0.0000 [8 per cell]
Tl2 0.2240 0.0603 0.0000 [8 per cell]
Hg1 0.0000 0.5000 0.2500 [4 per cell]
Hg2 0.1063 0.0890 0.5000 [8 per cell]
Hg3 0.2284 0.2789 0.5000 [8 per cell]

Largest 12 diffraction maxima, by intensity, 2θ = 10–80°:
| d_spacing | I_rel |
| --- | --- |
| 2.719 | 100 |
| 2.815 | 69 |
| 3.116 | 55 |
| 2.747 | 44 |
| 2.313 | 33 |
| 2.707 | 27 |
| 1.712 | 27 |
| 2.281 | 23 |
| 1.412 | 21 |
| 2.606 | 19 |
| 2.736 | 18 |
| 2.148 | 17 |

=====

[2]
Diffraction record for Tb2ScAg6. The X-ray diffraction stick pattern is computed, not measured: it uses a GGA-PBE-relaxed structure and Cu Kα (λ = 1.5418 Å).

Structural model:
a b c (Å): 5.2572 15.9626 5.2417
angles (deg): 90.00 119.57 90.00
Space group C2/m (No. 12)
Inequivalent atoms, fractional coordinates:
Tb1 0.0000 0.1639 0.0000 [4 per cell]
Sc1 0.0000 0.0000 0.5000 [2 per cell]
Ag1 0.1575 0.5000 0.8218 [4 per cell]
Ag2 0.1695 0.3375 0.3368 [8 per cell]

Largest 12 diffraction maxima, by intensity, 2θ = 10–80°:
| d_spacing | I_rel |
| --- | --- |
| 2.366 | 100 |
| 2.660 | 70 |
| 2.586 | 54 |
| 2.497 | 43 |
| 2.195 | 38 |
| 2.351 | 23 |
| 1.473 | 21 |
| 1.454 | 21 |
| 1.720 | 19 |
| 2.026 | 19 |
| 2.628 | 16 |
| 1.870 | 11 |

=====

[3]
Diffraction record for Re4SbAu. The X-ray diffraction stick pattern is computed, not measured: it uses a GGA-PBE-relaxed structure and Cu Kα (λ = 1.5418 Å).

Structural model:
a b c (Å): 7.4951 7.4951 7.4951
angles (deg): 90.00 90.00 90.00
Space group F-43m (No. 216)
Inequivalent atoms, fractional coordinates:
Re1 0.1233 0.1233 0.3767 [16 per cell]
Sb1 0.0000 0.0000 0.0000 [4 per cell]
Au1 0.2500 0.2500 0.7500 [4 per cell]

Largest 12 diffraction maxima, by intensity, 2θ = 10–80°:
| d_spacing | I_rel |
| --- | --- |
| 2.260 | 100 |
| 2.164 | 45 |
| 1.442 | 33 |
| 1.325 | 29 |
| 2.650 | 23 |
| 4.327 | 12 |
| 1.530 | 9 |
| 1.874 | 7 |
| 1.720 | 3 |
| 1.267 | 2 |
| 1.676 | 1 |
| 3.748 | 1 |

=====

[4]
Diffraction record for Er2Co3Si5. The X-ray diffraction stick pattern is computed, not measured: it uses a GGA-PBE-relaxed structure and Cu Kα (λ = 1.5418 Å).

Structural model:
a b c (Å): 10.7040 11.3799 5.4690
angles (deg): 90.00 118.55 90.00
Space group C2/c (No. 15)
Inequivalent atoms, fractional coordinates:
Er1 0.2332 0.1365 0.2360 [8 per cell]
Co1 0.0000 0.4967 0.7500 [4 per cell]
Co2 0.0988 0.1387 0.6262 [8 per cell]
Si1 0.0000 0.0116 0.2500 [4 per cell]
Si2 0.0000 0.2714 0.2500 [4 per cell]
Si3 0.0000 0.2865 0.7500 [4 per cell]
Si4 0.1641 0.4013 0.1659 [8 per cell]

Largest 12 diffraction maxima, by intensity, 2θ = 10–80°:
| d_spacing | I_rel |
| --- | --- |
| 2.422 | 100 |
| 1.971 | 92 |
| 2.486 | 87 |
| 2.434 | 87 |
| 3.600 | 60 |
| 2.402 | 59 |
| 3.671 | 57 |
| 2.845 | 45 |
| 2.733 | 42 |
| 2.325 | 37 |
| 4.701 | 31 |
| 1.716 | 26 |